Structure and simulated X-ray powder pattern of Cs2LiHf2Te6 (a crystal structure in Alexandria, relaxed with GGA-PBE; CuKα).

Largest 10 diffraction maxima, most intense first, 2θ from 5° to 70°:
- 27.8 deg, I 100.0
- 9.6 deg, I 61.8
- 27.9 deg, I 52.1
- 43.2 deg, I 35.4
- 36.1 deg, I 29.7
- 15.6 deg, I 27.7
- 43.4 deg, I 25.0
- 52.4 deg, I 23.3
- 33.5 deg, I 22.2
- 19.0 deg, I 16.7

Structure:
```
11
Lattice="3.6330 -6.2527 0.0000 3.6330 6.2527 0.0000 -2.2858 0.0000 9.2313" Properties=species:S:1:pos:R:3 pbc="T T T"
Cs 3.6330 4.2036 0.0000
Cs 3.6330 -4.2036 0.0000
Li -1.1429 0.0000 4.6156
Hf 2.4901 2.0995 4.6156
Hf 2.4901 -2.0995 4.6156
Te 0.1237 2.1405 6.2800
Te 1.4439 0.0000 2.9168
Te 0.1237 -2.1405 6.2800
Te 4.8565 2.1405 2.9512
Te 3.5363 0.0000 6.3144
Te 4.8565 -2.1405 2.9512
```


Structure and simulated X-ray powder pattern of TmBeB4 (a crystal structure in Alexandria, relaxed with GGA-PBE; CuKα).

Largest 10 diffraction maxima, most intense first, 2θ from 5° to 70°:
- 41.9 deg, I 100.0
- 21.9 deg, I 87.2
- 31.6 deg, I 82.5
- 34.9 deg, I 65.1
- 17.1 deg, I 54.2
- 39.3 deg, I 52.1
- 28.1 deg, I 50.7
- 26.8 deg, I 48.1
- 32.0 deg, I 30.1
- 58.6 deg, I 28.0

Structure:
```
24
Lattice="5.8447 0.0000 0.0000 0.0000 11.3209 0.0000 0.0000 0.0000 3.3255" Properties=species:S:1:pos:R:3 pbc="T T T"
Tm 0.7318 1.7097 0.0000
Tm 2.1905 7.3702 0.0000
Tm 3.6542 3.9507 0.0000
Tm 5.1129 9.6112 0.0000
Be 0.7703 4.6747 0.0000
Be 2.1521 10.3352 0.0000
Be 3.6926 0.9857 0.0000
Be 5.0744 6.6462 0.0000
B 0.1522 7.8316 1.6627
B 0.6537 6.1836 1.6627
B 0.7974 10.9619 1.6627
B 1.2592 9.2178 1.6627
B 1.6631 3.5574 1.6627
B 2.1250 5.3015 1.6627
B 2.2687 0.5231 1.6627
B 2.7702 2.1712 1.6627
B 3.0745 9.1497 1.6627
B 3.5760 10.7978 1.6627
B 3.7197 6.0194 1.6627
B 4.1816 7.7635 1.6627
B 4.5855 2.1031 1.6627
B 5.0473 0.3590 1.6627
B 5.1910 5.1373 1.6627
B 5.6925 3.4893 1.6627
```


Structure and simulated X-ray powder pattern of Ir5PdS8 (a crystal structure in Alexandria, relaxed with GGA-PBE; CuKα).

Largest 10 diffraction maxima, most intense first, 2θ from 5° to 70°:
- 29.8 deg, I 100.0
- 52.0 deg, I 52.2
- 47.5 deg, I 42.4
- 36.1 deg, I 22.6
- 31.1 deg, I 21.8
- 25.3 deg, I 20.6
- 15.4 deg, I 18.8
- 61.1 deg, I 13.5
- 61.9 deg, I 11.3
- 44.6 deg, I 8.5

Structure:
```
14
Lattice="0.0000 4.9745 4.9745 4.9745 0.0000 4.9745 4.9745 4.9745 0.0000" Properties=species:S:1:pos:R:3 pbc="T T T"
Ir 0.0000 0.0000 0.0000
Ir 6.2059 3.7430 3.7430
Ir 3.7430 6.2059 3.7430
Ir 3.7430 3.7430 6.2059
Ir 6.2059 6.2059 6.2059
Pd 2.4872 2.4872 2.4872
S 3.8499 3.8499 3.8499
S 6.0990 6.0990 3.8499
S 6.0990 3.8499 6.0990
S 8.6138 6.3095 6.3095
S 3.8499 6.0990 6.0990
S 6.3095 8.6138 6.3095
S 6.3095 6.3095 8.6138
S 8.6138 8.6138 8.6138
```


Structure and simulated X-ray powder pattern of DyTh6 (a crystal structure in Alexandria, relaxed with GGA-PBE; CuKα).

Largest 10 diffraction maxima, most intense first, 2θ from 5° to 70°:
- 31.2 deg, I 100.0
- 28.1 deg, I 77.7
- 34.4 deg, I 57.7
- 36.7 deg, I 36.6
- 55.3 deg, I 33.6
- 64.9 deg, I 28.8
- 38.4 deg, I 25.9
- 32.9 deg, I 22.7
- 43.1 deg, I 21.7
- 59.9 deg, I 18.7

Structure:
```
14
Lattice="6.6378 0.0000 0.0000 0.0000 6.6378 0.0000 0.0000 0.0000 10.8774" Properties=species:S:1:pos:R:3 pbc="T T T"
Dy 1.6594 4.9783 0.0000
Dy 4.9783 1.6594 0.0000
Th 0.4760 3.7949 3.8847
Th 0.4760 6.1618 6.9927
Th 1.6594 1.6594 1.5901
Th 1.6594 1.6594 9.2873
Th 2.8429 3.7949 6.9927
Th 2.8429 6.1618 3.8847
Th 3.7949 0.4760 6.9927
Th 3.7949 2.8429 3.8847
Th 4.9783 4.9783 1.5901
Th 4.9783 4.9783 9.2873
Th 6.1618 0.4760 3.8847
Th 6.1618 2.8429 6.9927
```


Structure and simulated X-ray powder pattern of NaNd5Cd6 (a crystal structure in Alexandria, relaxed with GGA-PBE; CuKα).

Largest 10 diffraction maxima, most intense first, 2θ from 5° to 70°:
- 33.0 deg, I 100.0
- 58.9 deg, I 21.9
- 33.2 deg, I 19.7
- 59.1 deg, I 14.3
- 47.5 deg, I 14.2
- 69.2 deg, I 11.1
- 58.8 deg, I 7.3
- 47.2 deg, I 7.2
- 69.6 deg, I 2.2
- 15.9 deg, I 1.6

Structure:
```
12
Lattice="2.7147 -8.1059 0.0000 2.7147 8.1059 0.0000 0.0000 0.0000 7.6993" Properties=species:S:1:pos:R:3 pbc="T T T"
Na 0.0000 0.0000 0.0000
Nd 0.0000 0.0000 3.8497
Nd 2.7147 2.7431 3.8497
Nd 2.7147 2.6640 0.0000
Nd 2.7147 -2.6640 0.0000
Nd 2.7147 -2.7431 3.8497
Cd 2.7147 5.4392 1.8740
Cd 2.7147 5.4392 5.8253
Cd 2.7147 0.0000 1.9483
Cd 2.7147 0.0000 5.7510
Cd 2.7147 -5.4392 1.8740
Cd 2.7147 -5.4392 5.8253
```


Structure and simulated X-ray powder pattern of Dy4Al3 (a crystal structure in Alexandria, relaxed with GGA-PBE; CuKα).

Largest 10 diffraction maxima, most intense first, 2θ from 5° to 70°:
- 34.6 deg, I 100.0
- 24.3 deg, I 39.5
- 61.9 deg, I 34.1
- 49.7 deg, I 17.5
- 56.0 deg, I 15.7
- 42.7 deg, I 11.2
- 22.4 deg, I 3.0
- 35.8 deg, I 2.3
- 20.5 deg, I 2.3
- 26.0 deg, I 2.1

Structure:
```
14
Lattice="6.8664 3.9643 2.1175 -6.8664 3.9643 2.1175 0.0000 -7.9287 2.1175" Properties=species:S:1:pos:R:3 pbc="T T T"
Dy 0.0000 0.0000 0.0000
Dy -3.7755 -3.3520 3.1244
Dy -4.7907 1.5937 3.2281
Dy 1.0152 -4.9457 3.2281
Dy 0.0000 0.0000 3.1762
Dy -1.0152 4.9457 3.1244
Dy 4.7907 -1.5937 3.1244
Dy 3.7755 3.3520 3.2281
Al -0.8919 -2.6931 1.9804
Al -1.8864 2.1190 1.9804
Al -2.7783 -0.5741 4.3721
Al 2.7783 0.5741 1.9804
Al 1.8863 -2.1190 4.3721
Al 0.8919 2.6931 4.3721
```


Structure and simulated X-ray powder pattern of LuZrTcRh (a crystal structure in Alexandria, relaxed with GGA-PBE; CuKα).

Largest 9 diffraction maxima, most intense first, 2θ from 5° to 70°:
- 38.4 deg, I 100.0
- 69.4 deg, I 34.2
- 55.4 deg, I 17.0
- 23.2 deg, I 6.7
- 45.3 deg, I 3.7
- 26.9 deg, I 2.0
- 60.9 deg, I 1.6
- 62.6 deg, I 0.8
- 47.5 deg, I 0.6

Structure:
```
4
Lattice="0.0000 3.3175 3.3175 3.3175 0.0000 3.3175 3.3175 3.3175 0.0000" Properties=species:S:1:pos:R:3 pbc="T T T"
Lu 0.0000 0.0000 0.0000
Zr 3.3175 3.3175 3.3175
Tc 4.9763 4.9763 4.9763
Rh 1.6588 1.6588 1.6588
```


Structure and simulated X-ray powder pattern of Sm3Co7Si2 (a crystal structure in Alexandria, relaxed with GGA-PBE; CuKα).

Largest 10 diffraction maxima, most intense first, 2θ from 5° to 70°:
- 42.1 deg, I 100.0
- 34.1 deg, I 65.4
- 40.0 deg, I 59.6
- 34.3 deg, I 54.3
- 37.5 deg, I 45.7
- 66.8 deg, I 24.5
- 61.3 deg, I 23.0
- 63.6 deg, I 20.7
- 40.7 deg, I 18.4
- 20.0 deg, I 16.9

Structure:
```
12
Lattice="2.6131 1.5087 7.5381 -2.6131 1.5087 7.5381 0.0000 -3.0174 7.5381" Properties=species:S:1:pos:R:3 pbc="T T T"
Sm 0.0000 0.0000 0.0000
Sm 0.0000 0.0000 3.2079
Sm 0.0000 0.0000 19.4063
Co -1.2793 -0.7386 9.2973
Co 0.0000 -1.4772 13.3168
Co -1.2793 0.7386 13.3168
Co 0.0000 0.0000 11.3071
Co 1.2793 -0.7386 9.2973
Co 0.0000 1.4772 9.2973
Co 1.2793 0.7386 13.3168
Si 0.0000 0.0000 7.5084
Si 0.0000 0.0000 15.1057
```


Please write out number 8 again, unchanged.
Structure and simulated X-ray powder pattern of Sm3Co7Si2 (a crystal structure in Alexandria, relaxed with GGA-PBE; CuKα).

Largest 10 diffraction maxima, most intense first, 2θ from 5° to 70°:
- 42.1 deg, I 100.0
- 34.1 deg, I 65.4
- 40.0 deg, I 59.6
- 34.3 deg, I 54.3
- 37.5 deg, I 45.7
- 66.8 deg, I 24.5
- 61.3 deg, I 23.0
- 63.6 deg, I 20.7
- 40.7 deg, I 18.4
- 20.0 deg, I 16.9

Structure:
```
12
Lattice="2.6131 1.5087 7.5381 -2.6131 1.5087 7.5381 0.0000 -3.0174 7.5381" Properties=species:S:1:pos:R:3 pbc="T T T"
Sm 0.0000 0.0000 0.0000
Sm 0.0000 0.0000 3.2079
Sm 0.0000 0.0000 19.4063
Co -1.2793 -0.7386 9.2973
Co 0.0000 -1.4772 13.3168
Co -1.2793 0.7386 13.3168
Co 0.0000 0.0000 11.3071
Co 1.2793 -0.7386 9.2973
Co 0.0000 1.4772 9.2973
Co 1.2793 0.7386 13.3168
Si 0.0000 0.0000 7.5084
Si 0.0000 0.0000 15.1057
```